Record 1
For PuMgBi3, a DFT-relaxed cell (PBE, Alexandria) gives the simulated powder XRD pattern in this record (Cu Ka).
Neutral-atom scattering factors, no anomalous dispersion.

The 10 most intense peaks (2θ = 15–90°), by angle:
| d [Å] | 2θ (°) | I/Imax |
| --- | --- | --- |
| 3.319 | 26.86 | 29 |
| 3.227 | 27.65 | 48 |
| 2.980 | 29.99 | 55 |
| 2.910 | 30.73 | 100 |
| 2.706 | 33.10 | 64 |
| 2.673 | 33.52 | 54 |
| 2.622 | 34.19 | 46 |
| 2.312 | 38.95 | 40 |
| 2.279 | 39.54 | 42 |
| 1.659 | 55.39 | 33 |

Crystal structure
```
PuMgBi3
1.0
13.5330 0.0000 0.0000
0.0000 6.4463 0.0000
0.0000 0.0000 6.6381
Pu Mg Bi
4 4 12
Cartesian
2.5177 0.0172 1.6595
2.5177 3.2059 4.9786
11.0153 3.2403 1.6595
11.0153 6.4290 4.9786
5.2159 4.8347 0.0000
5.2159 4.8347 3.3190
8.3172 1.6116 0.0000
8.3172 1.6116 3.3190
0.0433 4.8347 0.0000
0.0433 4.8347 3.3190
3.1309 0.0107 4.9786
3.1309 3.2124 1.6595
5.6966 1.1293 1.6595
5.6966 2.0938 4.9786
7.8365 4.3524 1.6595
7.8365 5.3170 4.9786
10.4021 3.2338 4.9786
10.4021 6.4355 1.6595
13.4897 1.6116 0.0000
13.4897 1.6116 3.3190
```

=====

Record 2
For PuMgTlBi, a DFT-relaxed cell (PBE, Alexandria) gives the simulated powder XRD pattern in this record (Cu Ka).
Neutral-atom scattering factors, no anomalous dispersion.

The 10 most intense peaks (2θ = 15–90°), by angle:
| d [Å] | 2θ (°) | I/Imax |
| --- | --- | --- |
| 2.744 | 32.63 | 100 |
| 2.551 | 35.18 | 21 |
| 2.385 | 37.72 | 17 |
| 2.227 | 40.50 | 14 |
| 1.742 | 52.53 | 13 |
| 1.678 | 54.71 | 12 |
| 1.507 | 61.52 | 17 |
| 1.437 | 64.90 | 14 |
| 1.372 | 68.36 | 12 |
| 1.366 | 68.71 | 12 |

Crystal structure
```
PuMgTlBi
1.0
4.4547 0.0000 0.0000
0.0000 4.7697 0.0000
0.0000 0.0000 5.1019
Pu Mg Tl Bi
1 1 1 1
Cartesian
0.0000 0.0000 0.0000
0.0000 2.3849 2.5509
2.2274 0.0000 2.5509
2.2274 2.3849 0.0000
```

=====

Record 3
For Rb3MgBi, a DFT-relaxed cell (PBE, Alexandria) gives the simulated powder XRD pattern in this record (Cu Ka).
Neutral-atom scattering factors, no anomalous dispersion.

The 10 most intense peaks (2θ = 15–90°), by angle:
| d [Å] | 2θ (°) | I/Imax |
| --- | --- | --- |
| 4.782 | 18.55 | 47 |
| 4.697 | 18.89 | 58 |
| 3.960 | 22.45 | 31 |
| 3.750 | 23.73 | 60 |
| 3.682 | 24.17 | 41 |
| 3.665 | 24.28 | 69 |
| 3.038 | 29.40 | 32 |
| 2.895 | 30.89 | 100 |
| 2.728 | 32.83 | 31 |
| 1.979 | 45.85 | 33 |

Crystal structure
```
Rb3MgBi
1.0
-7.3301 4.2586 4.6969
7.3301 -4.2586 4.6969
7.3301 4.2586 -4.6969
Rb Mg Bi
6 2 2
Cartesian
0.2376 2.0156 0.0000
7.0925 2.0156 0.0000
3.6650 -1.3012 6.1291
0.2376 2.2429 4.6969
7.0925 2.2429 4.6969
3.6650 5.5597 1.4323
3.6650 2.8917 -2.0050
3.6650 1.3669 2.6919
3.6650 0.5956 -0.1182
3.6650 3.6629 4.5787
```

=====

Record 4
For Rb3MgBi2, a DFT-relaxed cell (PBE, Alexandria) gives the simulated powder XRD pattern in this record (Cu Ka).
Neutral-atom scattering factors, no anomalous dispersion.

The 10 most intense peaks (2θ = 15–90°), by angle:
| d [Å] | 2θ (°) | I/Imax |
| --- | --- | --- |
| 4.751 | 18.68 | 73 |
| 4.650 | 19.09 | 31 |
| 3.731 | 23.85 | 43 |
| 3.359 | 26.53 | 100 |
| 3.203 | 27.85 | 47 |
| 3.081 | 28.98 | 32 |
| 3.046 | 29.32 | 43 |
| 2.910 | 30.72 | 59 |
| 2.764 | 32.40 | 37 |
| 2.360 | 38.13 | 32 |

Crystal structure
```
Rb3MgBi2
1.0
-4.6501 8.2270 3.7309
4.6501 -8.2270 3.7309
4.6501 8.2270 -3.7309
Rb Mg Bi
6 2 4
Cartesian
6.3648 2.9610 0.0000
0.0000 0.0000 1.8655
1.7148 5.2660 0.0000
2.9353 2.9610 3.7309
0.0000 0.0000 5.5964
-1.7148 5.2660 3.7309
4.6501 0.0000 1.8655
0.0000 8.2270 1.8655
2.8682 1.5834 0.0000
2.8682 -1.5834 3.7309
1.7819 9.8104 0.0000
1.7819 6.6436 3.7309
```

=====

Question: What is the formula in the first record?
Answer: PuMgBi3